Entry 1:
Structure and calculated powder XRD pattern of Bi2Br9N3 (a crystal structure in the Materials Project, relaxed with PBE; a wavelength of 1.5418 Å).

Peak list (12 most intense, 5° ≤ 2θ ≤ 70°, in order of rising 2θ)
d 6.746, I 13; d 5.549, I 100; d 3.188, I 13; d 3.044, I 10; d 2.774, I 59; d 2.496, I 21; d 2.467, I 28; d 1.976, I 22; d 1.948, I 22; d 1.850, I 9; d 1.838, I 12; d 1.594, I 11

Crystal structure
```
14
Lattice="7.790 0.000 0.000 -3.895 6.746 0.000 0.000 0.000 9.756" Properties=species:S:1:pos:R:3 pbc="T T T"
Bi 0.000 4.498 3.013
Bi 3.895 2.249 6.743
Br -1.948 3.373 4.878
Br 0.000 2.213 1.652
Br -1.979 5.640 1.652
Br 1.916 1.106 8.104
Br 3.895 0.000 4.878
Br 1.948 3.373 4.878
Br 1.979 5.640 1.652
Br 5.874 1.106 8.104
Br 3.895 4.534 8.104
N 0.000 0.000 4.878
N 0.000 4.498 7.967
N 3.895 2.249 1.790
```


Entry 2:
Structure and calculated powder XRD pattern of Bi2Br9N3 (a crystal structure in the Materials Project, relaxed with PBE; a wavelength of 1.5418 Å).

Peak list (12 most intense, 5° ≤ 2θ ≤ 70°, in order of rising 2θ)
d 10.642, I 10; d 8.153, I 24; d 7.613, I 100; d 5.335, I 11; d 3.536, I 11; d 3.236, I 18; d 2.832, I 14; d 2.496, I 14; d 2.437, I 10; d 2.353, I 11; d 2.157, I 8; d 1.863, I 11

Crystal structure
```
28
Lattice="9.414 0.000 0.000 -4.707 8.153 0.000 0.000 0.000 21.284" Properties=species:S:1:pos:R:3 pbc="T T T"
Bi 0.000 5.435 3.374
Bi 0.000 5.435 7.267
Bi 4.707 2.718 14.016
Bi 4.707 2.718 17.909
Br -1.869 4.356 5.321
Br 0.000 3.157 2.073
Br 0.000 3.157 8.569
Br -1.973 6.574 2.073
Br -1.973 6.574 8.569
Br 2.734 1.578 12.715
Br 2.734 1.578 19.210
Br 1.869 4.356 5.321
Br 0.000 7.593 5.321
Br 4.707 0.560 15.963
Br 2.838 3.796 15.963
Br 1.973 6.574 2.073
Br 1.973 6.574 8.569
Br 6.680 1.578 12.715
Br 6.680 1.578 19.210
Br 4.707 4.996 12.715
Br 4.707 4.996 19.210
Br 6.576 3.796 15.963
N 0.000 0.000 5.321
N 0.000 0.000 15.963
N 0.000 5.435 12.592
N 0.000 5.435 19.334
N 4.707 2.718 1.950
N 4.707 2.718 8.692
```


Entry 3:
Structure and calculated powder XRD pattern of NbBi4BrO8 (a crystal structure in the Materials Project, relaxed with PBE; a wavelength of 1.5418 Å).

Peak list (12 most intense, 5° ≤ 2θ ≤ 70°, in order of rising 2θ)
d 7.453, I 11; d 3.838, I 9; d 3.102, I 100; d 2.827, I 16; d 2.790, I 18; d 2.718, I 9; d 2.484, I 11; d 1.986, I 17; d 1.856, I 9; d 1.687, I 8; d 1.680, I 12; d 1.665, I 17

Crystal structure
```
56
Lattice="29.813 0.000 0.000 0.000 5.654 0.000 0.000 0.000 5.581" Properties=species:S:1:pos:R:3 pbc="T T T"
Nb 7.462 1.373 0.000
Nb 7.444 4.200 2.790
Nb 22.369 1.454 0.000
Nb 22.350 4.281 2.790
Bi 2.163 1.456 0.100
Bi 2.163 4.288 2.787
Bi 4.723 1.712 2.953
Bi 4.766 4.557 5.510
Bi 10.140 1.730 2.719
Bi 10.183 4.539 0.163
Bi 12.743 1.461 5.578
Bi 12.743 4.283 2.891
Bi 17.070 1.371 0.100
Bi 17.070 4.193 2.787
Bi 19.629 1.115 2.953
Bi 19.673 3.924 5.510
Bi 25.046 1.097 2.719
Bi 25.090 3.942 0.163
Bi 27.650 1.366 5.578
Bi 27.649 4.198 2.891
Br 0.046 4.240 0.039
Br 14.861 1.413 2.829
Br 14.952 4.241 0.039
Br 29.767 1.414 2.829
O 3.217 2.799 4.226
O 3.231 5.641 4.221
O 3.258 2.853 1.472
O 3.284 0.030 1.415
O 5.586 0.950 4.998
O 5.602 3.780 3.433
O 6.923 5.353 1.379
O 6.943 2.565 1.358
O 7.964 5.392 4.149
O 7.984 2.527 4.169
O 9.305 0.953 0.642
O 9.321 3.777 2.208
O 11.622 2.857 4.205
O 11.648 0.026 4.262
O 11.675 2.814 1.430
O 11.689 5.626 1.436
O 18.123 0.028 4.226
O 18.138 2.840 4.221
O 18.165 5.628 1.472
O 18.191 2.796 1.415
O 20.492 1.877 4.998
O 20.508 4.701 3.433
O 21.829 3.127 1.379
O 21.849 0.262 1.358
O 22.870 3.089 4.149
O 22.890 0.300 4.169
O 24.211 1.874 0.642
O 24.227 4.704 2.208
O 26.528 5.623 4.205
O 26.554 2.801 4.262
O 26.581 0.013 1.430
O 26.596 2.855 1.436
```


Entry 4:
Structure and calculated powder XRD pattern of NbBi4BrO8 (a crystal structure in the Materials Project, relaxed with PBE; a wavelength of 1.5418 Å).

Peak list (12 most intense, 5° ≤ 2θ ≤ 70°, in order of rising 2θ)
d 7.445, I 11; d 3.836, I 9; d 3.100, I 100; d 2.825, I 16; d 2.790, I 18; d 2.716, I 8; d 2.482, I 11; d 1.985, I 17; d 1.854, I 9; d 1.679, I 12; d 1.664, I 17; d 1.550, I 8

Crystal structure
```
56
Lattice="5.580 0.000 0.000 0.000 5.649 0.000 0.000 0.000 29.781" Properties=species:S:1:pos:R:3 pbc="T T T"
Nb 0.000 0.046 7.445
Nb 0.000 5.603 22.336
Nb 2.790 2.779 22.336
Nb 2.790 2.870 7.445
Bi 0.068 0.038 17.051
Bi 0.068 5.611 2.161
Bi 0.119 2.520 10.148
Bi 0.119 3.129 25.039
Bi 2.672 0.305 25.039
Bi 2.672 5.344 10.148
Bi 2.723 2.787 2.161
Bi 2.723 2.862 17.051
Bi 2.858 2.787 12.730
Bi 2.858 2.862 27.621
Bi 2.909 0.305 19.633
Bi 2.909 5.344 4.743
Bi 5.462 2.520 4.743
Bi 5.462 3.129 19.633
Bi 5.513 0.038 27.621
Bi 5.513 5.611 12.730
Br 0.000 2.825 0.000
Br 0.000 2.825 14.891
Br 2.790 0.000 0.000
Br 2.790 0.000 14.891
O 0.584 0.454 9.322
O 0.584 5.195 24.212
O 1.378 1.389 3.278
O 1.378 4.260 18.169
O 1.386 1.129 21.834
O 1.386 4.520 6.943
O 1.388 1.431 11.675
O 1.388 4.218 26.565
O 1.402 1.393 26.565
O 1.402 4.256 11.675
O 1.404 1.695 6.943
O 1.404 3.954 21.834
O 1.412 1.436 18.169
O 1.412 4.213 3.278
O 2.206 2.371 24.212
O 2.206 3.278 9.322
O 3.374 2.371 20.460
O 3.374 3.278 5.569
O 4.168 1.436 26.503
O 4.168 4.213 11.613
O 4.177 1.695 7.948
O 4.177 3.954 22.838
O 4.178 1.393 18.107
O 4.178 4.256 3.216
O 4.192 1.431 3.216
O 4.192 4.218 18.107
O 4.194 1.129 22.838
O 4.194 4.520 7.948
O 4.202 1.389 11.613
O 4.202 4.260 26.503
O 4.996 0.454 5.569
O 4.996 5.195 20.460
```


Entry 5:
Structure and calculated powder XRD pattern of Sr2Nb2Bi3BrO11 (a crystal structure in the Materials Project, relaxed with PBE; a wavelength of 1.5418 Å).

Peak list (12 most intense, 5° ≤ 2θ ≤ 70°, in order of rising 2θ)
d 10.164, I 19; d 6.776, I 18; d 3.903, I 10; d 3.132, I 100; d 2.812, I 39; d 2.579, I 15; d 2.541, I 8; d 1.989, I 23; d 1.885, I 16; d 1.679, I 33; d 1.648, I 11; d 1.364, I 8

Crystal structure
```
19
Lattice="3.977 0.000 0.000 0.000 3.977 0.000 0.000 0.000 20.329" Properties=species:S:1:pos:R:3 pbc="T T T"
Sr 0.000 0.000 4.620
Sr 0.000 0.000 15.708
Nb 1.989 1.989 7.928
Nb 1.989 1.989 12.401
Bi 0.000 0.000 10.164
Bi 1.989 1.989 2.199
Bi 1.989 1.989 18.130
Br 0.000 0.000 0.000
O 0.000 1.989 3.274
O 0.000 1.989 8.322
O 0.000 1.989 12.007
O 0.000 1.989 17.055
O 1.989 0.000 3.274
O 1.989 0.000 8.322
O 1.989 0.000 12.007
O 1.989 0.000 17.055
O 1.989 1.989 6.114
O 1.989 1.989 10.164
O 1.989 1.989 14.214
```


Entry 6:
Structure and calculated powder XRD pattern of NdBi2BrO4 (a crystal structure in the Materials Project, relaxed with PBE; a wavelength of 1.5418 Å).

Peak list (12 most intense, 5° ≤ 2θ ≤ 70°, in order of rising 2θ)
d 4.700, I 7; d 3.979, I 8; d 3.037, I 100; d 2.814, I 34; d 2.350, I 9; d 2.093, I 8; d 1.990, I 19; d 1.804, I 22; d 1.664, I 35; d 1.518, I 10; d 1.458, I 7; d 1.407, I 6

Crystal structure
```
8
Lattice="3.979 0.000 0.000 0.000 3.979 0.000 0.000 0.000 9.399" Properties=species:S:1:pos:R:3 pbc="T T T"
Nd 0.000 0.000 0.000
Bi 1.990 1.990 2.563
Bi 1.990 1.990 6.836
Br 0.000 0.000 4.700
O 0.000 1.990 1.471
O 0.000 1.990 7.928
O 1.990 0.000 1.471
O 1.990 0.000 7.928
```


Entry 7:
Structure and calculated powder XRD pattern of BiPbBrO2 (a crystal structure in the Materials Project, relaxed with PBE; a wavelength of 1.5418 Å).

Peak list (12 most intense, 5° ≤ 2θ ≤ 70°, in order of rising 2θ)
d 6.597, I 8; d 3.837, I 17; d 2.963, I 100; d 2.835, I 40; d 2.199, I 9; d 2.150, I 10; d 2.005, I 20; d 1.738, I 22; d 1.661, I 37; d 1.482, I 10; d 1.418, I 6; d 1.377, I 8

Crystal structure
```
5
Lattice="-2.005 2.005 6.597 2.005 -2.005 6.597 2.005 2.005 -6.597" Properties=species:S:1:pos:R:3 pbc="T T T"
Bi 0.000 0.000 0.000
Pb 0.000 0.000 4.113
Br 0.000 0.000 8.623
O 2.005 0.000 5.491
O 0.000 2.005 5.491
```


Entry 8:
Structure and calculated powder XRD pattern of SrBi2Br2O3 (a crystal structure in the Materials Project, relaxed with PBE; a wavelength of 1.5418 Å).

Peak list (12 most intense, 5° ≤ 2θ ≤ 70°, in order of rising 2θ)
d 10.835, I 31; d 7.224, I 16; d 3.814, I 7; d 3.549, I 10; d 2.969, I 100; d 2.881, I 46; d 2.704, I 10; d 2.038, I 23; d 1.732, I 15; d 1.680, I 38; d 1.627, I 9; d 1.441, I 7

Crystal structure
```
16
Lattice="4.075 0.000 0.000 0.000 4.075 0.000 0.000 0.000 21.671" Properties=species:S:1:pos:R:3 pbc="T T T"
Sr 1.019 1.019 1.179
Sr 3.056 3.056 20.492
Bi 1.019 1.019 5.505
Bi 1.019 1.019 13.773
Bi 3.056 3.056 7.897
Bi 3.056 3.056 16.166
Br 1.019 1.019 9.422
Br 1.019 1.019 17.970
Br 3.056 3.056 3.701
Br 3.056 3.056 12.249
O 1.019 3.056 0.000
O 1.019 3.056 6.651
O 1.019 3.056 15.020
O 3.056 1.019 0.000
O 3.056 1.019 6.651
O 3.056 1.019 15.020
```


What did the second record say?
Structure and calculated powder XRD pattern of Bi2Br9N3 (a crystal structure in the Materials Project, relaxed with PBE; a wavelength of 1.5418 Å).

Peak list (12 most intense, 5° ≤ 2θ ≤ 70°, in order of rising 2θ)
d 10.642, I 10; d 8.153, I 24; d 7.613, I 100; d 5.335, I 11; d 3.536, I 11; d 3.236, I 18; d 2.832, I 14; d 2.496, I 14; d 2.437, I 10; d 2.353, I 11; d 2.157, I 8; d 1.863, I 11

Crystal structure
```
28
Lattice="9.414 0.000 0.000 -4.707 8.153 0.000 0.000 0.000 21.284" Properties=species:S:1:pos:R:3 pbc="T T T"
Bi 0.000 5.435 3.374
Bi 0.000 5.435 7.267
Bi 4.707 2.718 14.016
Bi 4.707 2.718 17.909
Br -1.869 4.356 5.321
Br 0.000 3.157 2.073
Br 0.000 3.157 8.569
Br -1.973 6.574 2.073
Br -1.973 6.574 8.569
Br 2.734 1.578 12.715
Br 2.734 1.578 19.210
Br 1.869 4.356 5.321
Br 0.000 7.593 5.321
Br 4.707 0.560 15.963
Br 2.838 3.796 15.963
Br 1.973 6.574 2.073
Br 1.973 6.574 8.569
Br 6.680 1.578 12.715
Br 6.680 1.578 19.210
Br 4.707 4.996 12.715
Br 4.707 4.996 19.210
Br 6.576 3.796 15.963
N 0.000 0.000 5.321
N 0.000 0.000 15.963
N 0.000 5.435 12.592
N 0.000 5.435 19.334
N 4.707 2.718 1.950
N 4.707 2.718 8.692
```